Starting from a cell relaxed with PBE+U, the powder diffractogram of Tl2MoO4 was simulated for a wavelength of 1.5418 Å.
Kinematic intensities with the Lorentz-polarization factor, no thermal factor.

```
data_Tl2MoO4
_symmetry_space_group_name_H-M 'P -3 m 1'
_symmetry_Int_Tables_number 164
_symmetry_space_group_name_Hall '-P 3 2"'
_cell_length_a 6.4092
_cell_length_b 6.4092
_cell_length_c 8.3843
_cell_angle_alpha 90.00
_cell_angle_beta 90.00
_cell_angle_gamma 120.00
loop_
_atom_site_label
_atom_site_type_symbol
_atom_site_fract_x
_atom_site_fract_y
_atom_site_fract_z
Tl1 Tl 0.0000 0.0000 0.0000
Tl2 Tl 0.0000 0.0000 0.5000
Tl3 Tl 0.3333 0.6667 0.3157
Mo1 Mo 0.3333 0.6667 0.8114
O1 O 0.1808 0.3616 0.7381
O2 O 0.3333 0.6667 0.0261
```

Main lines, in order of falling intensity (15° ≤ 2θ ≤ 90°):
d_spacing	I_rel	(hkl)
3.345	100	1 0 2
3.205	96	1 1 0
2.314	44	0 2 2
1.876	38	2 1 2
1.961	21	0 1 4
1.850	20	3 0 0
1.483	18	1 2 4
1.445	18	1 3 2
1.602	15	2 2 0
1.673	13	2 0 4
1.218	11	3 2 2
1.211	10	4 1 0

Starting from a cell relaxed with PBE+U, the powder diffractogram of Tl2MoO4 was simulated for a wavelength of 1.5418 Å.
Kinematic intensities with the Lorentz-polarization factor, no thermal factor.

```
data_Tl2MoO4
_symmetry_space_group_name_H-M 'C 1 2 1'
_symmetry_Int_Tables_number 5
_cell_length_a 10.8432
_cell_length_b 6.6597
_cell_length_c 8.2661
_cell_angle_alpha 90.00
_cell_angle_beta 90.91
_cell_angle_gamma 90.00
loop_
_symmetry_equiv_pos_as_xyz
'x,y,z'
'-x,y,-z'
'x+1/2,y+1/2,z'
'-x+1/2,y+1/2,-z'
loop_
_atom_site_label
_atom_site_type_symbol
_atom_site_fract_x
_atom_site_fract_y
_atom_site_fract_z
Tl1 Tl 0.0000 0.0000 0.0000
Tl2 Tl 0.0000 0.0283 0.5000
Tl3 Tl 0.1593 0.5462 0.3116
Mo1 Mo 0.1596 0.5131 0.8042
O1 O 0.0562 0.3014 0.7931
O2 O 0.0824 0.7168 0.6993
O3 O 0.1902 0.5875 0.0096
O4 O 0.1979 0.9497 0.2942
```

Main lines, in order of falling intensity (15° ≤ 2θ ≤ 90°):
d_spacing	I_rel	(hkl)
3.354	100	1 1 -2
3.176	96	3 1 0
3.329	62	0 2 0
3.261	44	2 0 2
2.330	39	2 2 2
1.883	21	4 2 -2
1.892	21	3 3 0
2.283	20	4 0 -2
1.927	19	1 3 -2
1.936	17	1 1 4
1.834	15	5 1 2
1.588	13	6 2 0